(1)
# Li2ScCuCl6
Computed X-ray powder pattern, copper Kα. Input: a cell relaxed with PBE.
Lines closer than 0.1° are merged.

Peak list (8 most intense, 2θ from 10° to 90°, by angle)
d 4.953, I 100.0
d 2.860, I 12.9
d 2.477, I 57.0
d 2.215, I 43.1
d 1.751, I 35.4
d 1.651, I 19.5
d 1.430, I 11.3
d 1.108, I 14.8

Structure:
Lattice parameters (Å, degrees): 7.005 7.005 7.005 60.00 60.00 60.00
Positions (direct):
Li: 0.250 0.250 0.250
Li: 0.750 0.750 0.750
Sc: 0.000 0.000 0.000
Cu: 0.500 0.500 0.500
Cl: 0.250 0.250 0.750
Cl: 0.250 0.750 0.250
Cl: 0.250 0.750 0.750
Cl: 0.750 0.250 0.250
Cl: 0.750 0.250 0.750
Cl: 0.750 0.750 0.250



(2)
# Na2LiYCl6
Computed X-ray powder pattern, copper Kα. Input: a cell relaxed with PBE.
Lines closer than 0.1° are merged.

Peak list (8 most intense, 2θ from 10° to 90°, by angle)
d 5.933, I 53.1
d 5.138, I 72.2
d 3.099, I 40.4
d 2.967, I 46.0
d 2.569, I 100.0
d 2.298, I 30.3
d 1.817, I 63.6
d 1.149, I 25.7

Structure:
Lattice parameters (Å, degrees): 7.267 7.267 7.267 60.00 60.00 60.00
Positions (direct):
Na: 0.250 0.250 0.250
Na: 0.750 0.750 0.750
Li: 0.000 0.000 0.000
Y: 0.500 0.500 0.500
Cl: 0.245 0.245 0.755
Cl: 0.245 0.755 0.245
Cl: 0.245 0.755 0.755
Cl: 0.755 0.245 0.245
Cl: 0.755 0.245 0.755
Cl: 0.755 0.755 0.245



(3)
# Ca5Ti2N6
Computed X-ray powder pattern, copper Kα. Input: a cell relaxed with PBE.
Lines closer than 0.1° are merged.

Peak list (8 most intense, 2θ from 10° to 90°, by angle)
d 5.280, I 63.8
d 3.170, I 44.9
d 2.767, I 100.0
d 2.742, I 37.0
d 2.706, I 89.8
d 2.579, I 75.5
d 2.413, I 37.3
d 2.265, I 50.8

Structure:
Lattice parameters (Å, degrees): 6.107 6.107 12.896 101.45 101.45 64.91
Positions (direct):
Ca: 0.158 0.842 0.750
Ca: 0.196 0.491 0.274
Ca: 0.217 0.727 0.993
Ca: 0.273 0.783 0.507
Ca: 0.491 0.196 0.774
Ca: 0.509 0.804 0.226
Ca: 0.727 0.217 0.493
Ca: 0.783 0.273 0.007
Ca: 0.804 0.509 0.726
Ca: 0.842 0.158 0.250
Ti: 0.185 0.364 0.568
Ti: 0.364 0.185 0.068
Ti: 0.636 0.815 0.932
Ti: 0.815 0.636 0.432
N: 0.094 0.327 0.414
N: 0.142 0.143 0.643
N: 0.143 0.142 0.143
N: 0.327 0.094 0.914
N: 0.440 0.461 0.124
N: 0.461 0.440 0.624
N: 0.539 0.560 0.376
N: 0.560 0.539 0.876
N: 0.673 0.906 0.086
N: 0.857 0.858 0.857
N: 0.858 0.857 0.357
N: 0.906 0.673 0.586



(4)
# CaBiPd
Computed X-ray powder pattern, copper Kα. Input: a cell relaxed with PBE.
Lines closer than 0.1° are merged.

Peak list (8 most intense, 2θ from 10° to 90°, by angle)
d 4.160, I 54.6
d 3.767, I 59.9
d 2.792, I 77.9
d 2.416, I 58.1
d 2.401, I 51.1
d 2.373, I 100.0
d 2.007, I 59.9
d 1.956, I 45.5

Structure:
Lattice parameters (Å, degrees): 7.534 4.832 8.173 90.00 90.00 90.00
Positions (direct):
Ca: 0.006 0.250 0.206
Ca: 0.494 0.750 0.706
Ca: 0.506 0.250 0.294
Ca: 0.994 0.750 0.794
Bi: 0.198 0.250 0.593
Bi: 0.302 0.750 0.093
Bi: 0.698 0.250 0.907
Bi: 0.802 0.750 0.407
Pd: 0.194 0.750 0.423
Pd: 0.306 0.250 0.923
Pd: 0.694 0.750 0.077
Pd: 0.806 0.250 0.577



Please write out number 1 again, unchanged.
# Li2ScCuCl6
Computed X-ray powder pattern, copper Kα. Input: a cell relaxed with PBE.
Lines closer than 0.1° are merged.

Peak list (8 most intense, 2θ from 10° to 90°, by angle)
d 4.953, I 100.0
d 2.860, I 12.9
d 2.477, I 57.0
d 2.215, I 43.1
d 1.751, I 35.4
d 1.651, I 19.5
d 1.430, I 11.3
d 1.108, I 14.8

Structure:
Lattice parameters (Å, degrees): 7.005 7.005 7.005 60.00 60.00 60.00
Positions (direct):
Li: 0.250 0.250 0.250
Li: 0.750 0.750 0.750
Sc: 0.000 0.000 0.000
Cu: 0.500 0.500 0.500
Cl: 0.250 0.250 0.750
Cl: 0.250 0.750 0.250
Cl: 0.250 0.750 0.750
Cl: 0.750 0.250 0.250
Cl: 0.750 0.250 0.750
Cl: 0.750 0.750 0.250